Calculated X-ray powder pattern
Compound: Tb3Dy2Er7
Radiation: Cu Kα X-rays
Structure: a structure optimized by DFT (PBE)

The 10 most intense peaks (2θ = 10–80°), low angle first:
30.71 deg, I 42, (1 11 0); 31.61 deg, I 26, (0 8 1); 31.81 deg, I 59, (2 0 0); 32.09 deg, I 100, (1 5 1); 34.22 deg, I 36, (1 7 1); 35.02 deg, I 26, (1 13 0); 45.46 deg, I 19, (2 8 1); 51.42 deg, I 24, (0 0 2); 56.85 deg, I 20, (3 5 1); 61.72 deg, I 18, (2 0 2)

Crystal structure
Cell lengths 5.6265, 37.4181, 3.5556 Å; angles 90.00, 90.00, 90.00 degrees
Space group Cmmm (No. 65)
One atom of each set of equivalent atoms:
Tb  0.0000  0.0000  0.0000 (multiplicity 2)
Tb  0.0000  0.1850  0.0000 (multiplicity 4)
Dy  0.0000  0.3529  0.5000 (multiplicity 4)
Er  0.0000  0.0914  0.5000 (multiplicity 4)
Er  0.0000  0.2694  0.5000 (multiplicity 4)
Er  0.0000  0.4283  0.0000 (multiplicity 4)
Er  0.0000  0.5000  0.5000 (multiplicity 2)